(1)
Computed X-ray diffraction stick pattern
Compound: Pu2MgSe4
Radiation: Cu Kα (weighted mean of Kα1 and Kα2)
Structure: a DFT-relaxed cell (GGA-PBE, Alexandria)
Lines closer than 0.1° are merged.

Largest 10 diffraction maxima, most intense first, 2θ = 10–90°:
Position (°2θ), I_rel
13.8, 100
28.5, 100
37.5, 52
28.4, 51
43.4, 40
37.8, 35
24.9, 32
44.1, 21
53.3, 18
24.5, 17

Structural model:
a = 7.6247 Å, b = 7.6247 Å, c = 7.2642 Å
α = 117.75°, β = 117.75°, γ = 31.24°
Fractional positions:
Pu 0.2293 0.2293 0.2232
Pu 0.7707 0.7707 0.7768
Mg 0.5000 0.5000 0.5000
Se 0.1308 0.1308 0.4889
Se 0.3804 0.3804 0.0745
Se 0.6196 0.6196 0.9255
Se 0.8692 0.8692 0.5111

***

(2)
Computed X-ray diffraction stick pattern
Compound: NiH10Rh4
Radiation: Cu Kα (weighted mean of Kα1 and Kα2)
Structure: a DFT-relaxed cell (GGA-PBE, Alexandria)
Lines closer than 0.1° are merged.

Largest 10 diffraction maxima, most intense first, 2θ = 10–90°:
Position (°2θ), I_rel
36.1, 100
41.9, 47
72.7, 36
60.7, 33
76.5, 10
24.4, 2
18.4, 1
26.1, 1
52.8, 1
59.9, 1

Structural model:
a = 5.2851 Å, b = 5.2851 Å, c = 5.2851 Å
α = 99.59°, β = 99.59°, γ = 131.82°
Fractional positions:
Ni 0.0000 0.0000 0.0000
H 0.0488 0.1469 0.7051
H 0.1469 0.4418 0.0981
H 0.2500 0.7500 0.5000
H 0.3437 0.0488 0.9019
H 0.4418 0.3437 0.2949
H 0.5582 0.6563 0.7051
H 0.6563 0.9512 0.0981
H 0.7500 0.2500 0.5000
H 0.8531 0.5582 0.9019
H 0.9512 0.8531 0.2949
Rh 0.2037 0.6008 0.8045
Rh 0.3992 0.2037 0.6029
Rh 0.6008 0.7963 0.3971
Rh 0.7963 0.3992 0.1955

***

(3)
Computed X-ray diffraction stick pattern
Compound: LiHfGaO4
Radiation: Cu Kα (weighted mean of Kα1 and Kα2)
Structure: a DFT-relaxed cell (GGA-PBE, Alexandria)
Lines closer than 0.1° are merged.

Largest 10 diffraction maxima, most intense first, 2θ = 10–90°:
Position (°2θ), I_rel
18.0, 100
33.7, 42
41.7, 35
60.1, 23
17.3, 22
35.0, 21
34.3, 20
36.6, 18
41.3, 18
44.9, 16

Structural model:
a = 6.1609 Å, b = 6.1609 Å, c = 6.1609 Å
α = 122.30°, β = 118.13°, γ = 89.67°
Fractional positions:
Li 0.3766 0.1266 0.2500
Li 0.6234 0.8734 0.7500
Hf 0.0000 0.5000 0.5000
Hf 0.5000 0.5000 0.0000
Ga 0.0000 0.0000 0.5000
Ga 0.0000 0.5000 0.0000
O 0.2046 0.7399 0.4647
O 0.2249 0.2601 0.9647
O 0.2426 0.2631 0.5204
O 0.2426 0.7222 0.9796
O 0.7574 0.2778 0.0204
O 0.7574 0.7369 0.4796
O 0.7751 0.7399 0.0353
O 0.7954 0.2601 0.5353

***

(4)
Computed X-ray diffraction stick pattern
Compound: Ac3Y5
Radiation: Cu Kα (weighted mean of Kα1 and Kα2)
Structure: a DFT-relaxed cell (GGA-PBE, Alexandria)
Lines closer than 0.1° are merged.

Largest 10 diffraction maxima, most intense first, 2θ = 10–90°:
Position (°2θ), I_rel
29.3, 100
33.7, 39
57.6, 30
27.0, 26
48.9, 16
48.5, 14
45.7, 12
34.4, 11
30.0, 9
60.8, 8

Structural model:
a = 3.7564 Å, b = 3.7564 Å, c = 20.8737 Å
α = 90.00°, β = 90.00°, γ = 90.00°
Fractional positions:
Ac 0.0000 0.0000 0.0000
Ac 0.5000 0.5000 0.1417
Ac 0.5000 0.5000 0.8583
Y 0.0000 0.0000 0.2707
Y 0.0000 0.0000 0.5000
Y 0.0000 0.0000 0.7293
Y 0.5000 0.5000 0.3854
Y 0.5000 0.5000 0.6146

***

(5)
Computed X-ray diffraction stick pattern
Compound: PrNd2Ho6
Radiation: Cu Kα (weighted mean of Kα1 and Kα2)
Structure: a DFT-relaxed cell (GGA-PBE, Alexandria)
Lines closer than 0.1° are merged.

Largest 10 diffraction maxima, most intense first, 2θ = 10–90°:
Position (°2θ), I_rel
35.3, 100
31.0, 99
30.3, 59
27.6, 49
62.7, 41
41.4, 33
53.5, 33
63.2, 26
57.1, 25
54.3, 21

Structural model:
a = 10.2917 Å, b = 10.2917 Å, c = 3.4239 Å
α = 99.57°, β = 99.57°, γ = 57.53°
Fractional positions:
Pr 0.0000 0.0000 0.0000
Nd 0.3332 0.3332 0.3348
Nd 0.6668 0.6668 0.6652
Ho 0.0202 0.6461 0.8344
Ho 0.3142 0.6858 0.5000
Ho 0.3539 0.9798 0.1656
Ho 0.6461 0.0202 0.8344
Ho 0.6858 0.3142 0.5000
Ho 0.9798 0.3539 0.1656

***

(6)
Computed X-ray diffraction stick pattern
Compound: TaV12Cr6
Radiation: Cu Kα (weighted mean of Kα1 and Kα2)
Structure: a DFT-relaxed cell (GGA-PBE, Alexandria)
Lines closer than 0.1° are merged.

Largest 10 diffraction maxima, most intense first, 2θ = 10–90°:
Position (°2θ), I_rel
39.3, 100
40.2, 96
37.9, 71
44.8, 57
40.7, 54
38.8, 46
13.3, 39
43.9, 37
33.6, 36
23.4, 32

Structural model:
a = 7.1924 Å, b = 7.1924 Å, c = 5.5016 Å
α = 98.21°, β = 98.21°, γ = 109.00°
Fractional positions:
Ta 0.0000 0.0000 0.0000
V 0.1080 0.3840 0.9265
V 0.1187 0.8813 0.5000
V 0.1610 0.4874 0.4102
V 0.3840 0.1080 0.9265
V 0.4634 0.4634 0.2246
V 0.4874 0.1610 0.4102
V 0.5126 0.8390 0.5898
V 0.5366 0.5366 0.7754
V 0.6160 0.8920 0.0735
V 0.8390 0.5126 0.5898
V 0.8813 0.1187 0.5000
V 0.8920 0.6160 0.0735
Cr 0.2165 0.7118 0.8082
Cr 0.2429 0.2429 0.6146
Cr 0.2882 0.7835 0.1918
Cr 0.7118 0.2165 0.8082
Cr 0.7571 0.7571 0.3854
Cr 0.7835 0.2882 0.1918

***

(7)
Computed X-ray diffraction stick pattern
Compound: Ce3Dy2O9
Radiation: Cu Kα (weighted mean of Kα1 and Kα2)
Structure: a DFT-relaxed cell (GGA-PBE, Alexandria)
Lines closer than 0.1° are merged.

Largest 10 diffraction maxima, most intense first, 2θ = 10–90°:
Position (°2θ), I_rel
28.4, 100
47.3, 33
55.9, 30
32.8, 22
47.1, 18
56.2, 14
76.3, 11
87.7, 11
33.0, 10
58.7, 9

Structural model:
a = 13.8309 Å, b = 13.8309 Å, c = 13.8309 Å
α = 163.97°, β = 163.97°, γ = 22.75°
Fractional positions:
Ce 0.0000 0.0000 0.0000
Ce 0.3989 0.3989 0.0000
Ce 0.6011 0.6011 0.0000
Dy 0.1950 0.1950 0.0000
Dy 0.8050 0.8050 0.0000
O 0.0549 0.5549 0.5000
O 0.1593 0.6593 0.5000
O 0.3407 0.8407 0.5000
O 0.4451 0.9451 0.5000
O 0.5464 0.0464 0.5000
O 0.6457 0.1457 0.5000
O 0.7500 0.2500 0.5000
O 0.8543 0.3543 0.5000
O 0.9536 0.4536 0.5000

***

(8)
Computed X-ray diffraction stick pattern
Compound: Zr5As3
Radiation: Cu Kα (weighted mean of Kα1 and Kα2)
Structure: a DFT-relaxed cell (GGA-PBE, Alexandria)
Lines closer than 0.1° are merged.

Largest 10 diffraction maxima, most intense first, 2θ = 10–90°:
Position (°2θ), I_rel
35.4, 100
34.2, 92
37.2, 77
35.2, 45
39.9, 42
44.3, 37
38.4, 27
30.0, 19
57.2, 17
72.0, 16

Structural model:
a = 10.8473 Å, b = 8.1867 Å, c = 7.1935 Å
α = 90.00°, β = 90.00°, γ = 90.00°
Fractional positions:
Zr 0.0002 0.2500 0.0271
Zr 0.9998 0.7500 0.9729
Zr 0.0751 0.0476 0.6914
Zr 0.0751 0.4524 0.6914
Zr 0.2034 0.7500 0.3515
Zr 0.2247 0.2500 0.3417
Zr 0.2753 0.7500 0.8417
Zr 0.2966 0.2500 0.8515
Zr 0.4249 0.5476 0.1914
Zr 0.4249 0.9524 0.1914
Zr 0.5002 0.2500 0.4729
Zr 0.4998 0.7500 0.5271
Zr 0.5751 0.0476 0.8086
Zr 0.5751 0.4524 0.8086
Zr 0.7034 0.7500 0.1485
Zr 0.7247 0.2500 0.1583
Zr 0.7753 0.7500 0.6583
Zr 0.7966 0.2500 0.6485
Zr 0.9249 0.5476 0.3086
Zr 0.9249 0.9524 0.3086
As 0.0129 0.7500 0.5826
As 0.1747 0.5072 0.0709
As 0.1747 0.9928 0.0709
As 0.3253 0.0072 0.5709
As 0.3253 0.4928 0.5709
As 0.4871 0.2500 0.0826
As 0.5129 0.7500 0.9174
As 0.6747 0.5072 0.4291
As 0.6747 0.9928 0.4291
As 0.8253 0.0072 0.9291
As 0.8253 0.4928 0.9291
As 0.9871 0.2500 0.4174

***

(9)
Computed X-ray diffraction stick pattern
Compound: LiHfScS4
Radiation: Cu Kα (weighted mean of Kα1 and Kα2)
Structure: a DFT-relaxed cell (GGA-PBE, Alexandria)
Lines closer than 0.1° are merged.

Largest 10 diffraction maxima, most intense first, 2θ = 10–90°:
Position (°2θ), I_rel
14.4, 100
33.8, 63
27.9, 36
48.5, 30
44.3, 25
27.8, 21
16.7, 16
50.9, 15
36.9, 13
81.0, 12

Structural model:
a = 7.5100 Å, b = 7.5100 Å, c = 7.5100 Å
α = 120.32°, β = 119.75°, γ = 89.94°
Fractional positions:
Li 0.3699 0.1199 0.2500
Li 0.6301 0.8801 0.7500
Hf 0.0000 0.0000 0.5000
Hf 0.0000 0.5000 0.0000
Sc 0.0000 0.5000 0.5000
Sc 0.5000 0.5000 0.0000
S 0.2290 0.7457 0.4834
S 0.2377 0.2543 0.9834
S 0.2388 0.2526 0.5139
S 0.2388 0.7249 0.9861
S 0.7612 0.2751 0.0139
S 0.7612 0.7474 0.4861
S 0.7623 0.7457 0.0166
S 0.7710 0.2543 0.5166

***

(10)
Computed X-ray diffraction stick pattern
Compound: Rb2Ti3Se6
Radiation: Cu Kα (weighted mean of Kα1 and Kα2)
Structure: a DFT-relaxed cell (GGA-PBE, Alexandria)
Lines closer than 0.1° are merged.

Largest 10 diffraction maxima, most intense first, 2θ = 10–90°:
Position (°2θ), I_rel
31.4, 100
49.2, 33
10.7, 26
40.5, 25
33.3, 20
37.9, 16
59.5, 15
32.6, 14
80.7, 12
49.5, 10

Structural model:
a = 6.4185 Å, b = 6.4185 Å, c = 8.5229 Å
α = 97.22°, β = 97.22°, γ = 120.00°
Fractional positions:
Rb 0.1666 0.8334 0.0000
Rb 0.8334 0.1666 0.0000
Ti 0.0000 0.0000 0.5000
Ti 0.3322 0.6678 0.5000
Ti 0.6678 0.3322 0.5000
Se 0.0638 0.3940 0.6819
Se 0.2759 0.2759 0.3185
Se 0.3940 0.0638 0.6819
Se 0.6060 0.9362 0.3181
Se 0.7241 0.7241 0.6815
Se 0.9362 0.6060 0.3181

***

(11)
Computed X-ray diffraction stick pattern
Compound: Tb2Pr4Pb3N2
Radiation: Cu Kα (weighted mean of Kα1 and Kα2)
Structure: a DFT-relaxed cell (GGA-PBE, Alexandria)
Lines closer than 0.1° are merged.

Largest 10 diffraction maxima, most intense first, 2θ = 10–90°:
Position (°2θ), I_rel
33.0, 100
36.5, 54
26.5, 33
63.5, 31
52.6, 19
51.1, 19
29.1, 19
18.4, 14
34.5, 14
63.2, 14

Structural model:
a = 13.4450 Å, b = 13.4450 Å, c = 13.4450 Å
α = 158.91°, β = 158.91°, γ = 30.00°
Fractional positions:
Tb 0.1928 0.1928 0.0000
Tb 0.8072 0.8072 0.0000
Pr 0.0862 0.5862 0.5000
Pr 0.4138 0.9138 0.5000
Pr 0.5862 0.0862 0.5000
Pr 0.9138 0.4138 0.5000
Pb 0.3192 0.3192 0.0000
Pb 0.5000 0.5000 0.0000
Pb 0.6808 0.6808 0.0000
N 0.1076 0.1076 0.0000
N 0.8924 0.8924 0.0000

***

(12)
Computed X-ray diffraction stick pattern
Compound: Tb16Dy7Th6
Radiation: Cu Kα (weighted mean of Kα1 and Kα2)
Structure: a DFT-relaxed cell (GGA-PBE, Alexandria)
Lines closer than 0.1° are merged.

Largest 10 diffraction maxima, most intense first, 2θ = 10–90°:
Position (°2θ), I_rel
32.4, 100
29.7, 92
58.7, 40
34.4, 38
27.9, 31
49.4, 25
33.9, 24
38.1, 24
50.5, 17
46.4, 17

Structural model:
a = 11.0676 Å, b = 11.0676 Å, c = 11.0676 Å
α = 60.00°, β = 60.00°, γ = 60.00°
Fractional positions:
Tb 0.0256 0.6581 0.6581
Tb 0.1196 0.1196 0.1196
Tb 0.1196 0.1196 0.6411
Tb 0.1196 0.6411 0.1196
Tb 0.3419 0.3419 0.3419
Tb 0.3419 0.3419 0.9744
Tb 0.3419 0.9744 0.3419
Tb 0.3589 0.8804 0.8804
Tb 0.6411 0.1196 0.1196
Tb 0.6581 0.0256 0.6581
Tb 0.6581 0.6581 0.0256
Tb 0.6581 0.6581 0.6581
Tb 0.8804 0.3589 0.8804
Tb 0.8804 0.8804 0.3589
Tb 0.8804 0.8804 0.8804
Tb 0.9744 0.3419 0.3419
Dy 0.0000 0.0000 0.0000
Dy 0.0000 0.0000 0.5000
Dy 0.0000 0.5000 0.0000
Dy 0.0000 0.5000 0.5000
Dy 0.5000 0.0000 0.0000
Dy 0.5000 0.0000 0.5000
Dy 0.5000 0.5000 0.0000
Th 0.3305 0.3305 0.6695
Th 0.3305 0.6695 0.3305
Th 0.3305 0.6695 0.6695
Th 0.6695 0.3305 0.3305
Th 0.6695 0.3305 0.6695
Th 0.6695 0.6695 0.3305